1.
Starting from a GGA-PBE-relaxed structure, the PXRD pattern of Er4GaSe3 was simulated for Cu Kα.
Peak positions follow from Bragg's law for the DFT cell and can differ from measured ones.

Crystal structure
```
data_Er4GaSe3
_chemical_formula_sum 'Er4 Ga1 Se3'
_cell_length_a 5.747
_cell_length_b 5.747
_cell_length_c 5.747
_cell_angle_alpha 90.00
_cell_angle_beta 90.00
_cell_angle_gamma 90.00
_space_group_name_H-M_alt 'P m -3 m'
_space_group_IT_number 221
_space_group_name_Hall '-P 4 2 3'
loop_
_atom_site_label
_atom_site_fract_x
_atom_site_fract_y
_atom_site_fract_z
Er1 0.000 0.000 0.000
Er2 0.000 0.500 0.500
Ga1 0.500 0.500 0.500
Se1 0.000 0.000 0.500
```

Most intense lines, 15° ≤ 2θ ≤ 90°, in order of falling intensity:
2theta  intensity
31.12  1000
44.59  742
73.72  334
55.38  261
82.17  252
26.87  244
64.90  121
52.83  120
71.56  49
88.38  40

***

2.
Starting from a GGA-PBE-relaxed structure, the PXRD pattern of Er3Tl3GaSe8 was simulated for Cu Kα.
Peak positions follow from Bragg's law for the DFT cell and can differ from measured ones.

Crystal structure
```
data_Er3Tl3GaSe8
_chemical_formula_sum 'Er6 Tl6 Ga2 Se16'
_cell_length_a 14.147
_cell_length_b 8.169
_cell_length_c 8.987
_cell_angle_alpha 90.00
_cell_angle_beta 121.59
_cell_angle_gamma 90.00
_space_group_name_H-M_alt 'C 1 2/m 1'
_space_group_IT_number 12
loop_
_space_group_symop_operation_xyz
'x,y,z'
'-x,-y,-z'
'-x,y,-z'
'x,-y,z'
'x+1/2,y+1/2,z'
'-x+1/2,-y+1/2,-z'
'-x+1/2,y+1/2,-z'
'x+1/2,-y+1/2,z'
loop_
_atom_site_label
_atom_site_fract_x
_atom_site_fract_y
_atom_site_fract_z
Er1 0.000 0.000 0.000
Er2 0.250 0.250 0.000
Tl1 0.000 0.500 0.500
Tl2 0.250 0.250 0.500
Ga1 0.000 0.500 0.000
Se1 0.013 0.264 0.804
Se2 0.223 0.500 0.196
Se3 0.235 0.000 0.207
```

Most intense lines, 15° ≤ 2θ ≤ 90°, in order of falling intensity:
2theta  intensity
29.67  1000
40.47  356
44.36  350
54.27  180
72.61  149
26.37  130
61.59  102
79.01  99
23.24  85
67.03  78

***

3.
Starting from a GGA-PBE-relaxed structure, the PXRD pattern of SmEr3Ga2 was simulated for Cu Kα.
Peak positions follow from Bragg's law for the DFT cell and can differ from measured ones.

Crystal structure
```
data_SmEr3Ga2
_chemical_formula_sum 'Sm4 Er12 Ga8'
_cell_length_a 15.928
_cell_length_b 5.072
_cell_length_c 8.818
_cell_angle_alpha 90.00
_cell_angle_beta 117.61
_cell_angle_gamma 90.00
_space_group_name_H-M_alt 'C 1 2/m 1'
_space_group_IT_number 12
loop_
_space_group_symop_operation_xyz
'x,y,z'
'-x,-y,-z'
'-x,y,-z'
'x,-y,z'
'x+1/2,y+1/2,z'
'-x+1/2,-y+1/2,-z'
'-x+1/2,y+1/2,-z'
'x+1/2,-y+1/2,z'
loop_
_atom_site_label
_atom_site_fract_x
_atom_site_fract_y
_atom_site_fract_z
Sm1 0.130 0.000 0.189
Er1 0.063 0.000 0.717
Er2 0.121 0.500 0.511
Er3 0.188 0.500 0.990
Ga1 0.014 0.500 0.151
Ga2 0.226 0.000 0.614
```

Most intense lines, 15° ≤ 2θ ≤ 90°, in order of falling intensity:
2theta  intensity
33.37  1000
31.81  904
35.41  782
28.10  320
30.87  227
62.26  165
48.36  157
47.66  137
62.05  136
27.13  131